The following is a theoretical powder diffraction line list of Ho3Si2Ge2Au4. It was derived from a PBE-relaxed structure, using Cu Ka.

Largest 8 diffraction maxima, sorted by position, 2θ = 10–90°:
two_theta, I_rel, index
27.9, 28.2, 1 0 3
33.7, 100.0, 1 2 1
35.0, 50.4, 1 1 4
37.4, 27.0, 0 0 6
38.2, 37.0, 1 2 3
42.2, 36.9, 2 0 0
43.2, 38.9, 0 3 3
61.9, 26.9, 2 3 3

Cell and atoms:
Cell: 4.287 6.978 14.434 Å, 90.00 90.00 90.00°
Space group Immm (No. 71)
One atom of each set of equivalent atoms:
1 Ho 0.000 0.000 0.000
2 Ho 0.000 0.500 0.125
3 Si 0.000 0.000 0.216
4 Ge 0.000 0.187 0.500
5 Au 0.000 0.298 0.328